Structure and calculated PXRD pattern of CS14 (a crystal structure in the Materials Project, relaxed with PBE; copper Kα).

Main lines, in order of falling intensity (2θ from 5° to 70°):
| d [Å] | 2θ/deg | intensity | index |
| --- | --- | --- | --- |
| 3.642 | 24.4 | 100 | 2 1 1 |
| 2.645 | 33.9 | 64 | 0 3 3 |
| 3.967 | 22.4 | 53 | 2 0 2 |
| 5.439 | 16.3 | 51 | 0 1 2 |
| 4.314 | 20.6 | 32 | 0 0 3 |
| 4.681 | 19.0 | 24 | 0 2 1 |
| 3.347 | 26.6 | 20 | 3 0 0 |
| 1.933 | 47.0 | 19 | 3 3 0 |

Cell and atoms:
Lattice parameters (Å, degrees): 11.5954 11.5954 12.9418 90.00 90.00 120.00
Space group R-3m (No. 166, hexagonal axes)
Symmetry-distinct sites (fractional):
1 C 0.0000 0.0000 0.0000
2 S 0.0000 0.0000 0.1202
3 S 0.0000 0.2898 0.5000
4 S 0.0864 0.5432 0.2534